# 1
Diffraction record for MnP2O7. The powder XRD pattern is theoretical, not measured: it uses a GGA+U-relaxed structure and CuKα.

Top 6 peaks for 10° ≤ 2θ ≤ 90°, low angle first:
2θ (°)  d/Å  Rel. int.
13.45  6.583  34
17.19  5.159  100
17.88  4.960  58
23.05  3.859  56
30.10  2.969  58
31.05  2.880  60

Cell: 4.758 6.838 7.914 Å, 91.42 92.96 105.54°
Fractional positions:
Mn  0.000  0.000  0.000
Mn  0.500  0.500  0.500
P  0.020  0.638  0.263
P  0.387  0.753  0.811
P  0.613  0.247  0.189
P  0.980  0.362  0.737
O  0.120  0.828  0.160
O  0.146  0.332  0.582
O  0.194  0.533  0.862
O  0.202  0.904  0.823
O  0.292  0.565  0.306
O  0.350  0.209  0.061
O  0.456  0.735  0.624
O  0.544  0.265  0.376
O  0.650  0.791  0.939
O  0.708  0.435  0.694
O  0.798  0.096  0.177
O  0.806  0.467  0.138
O  0.854  0.668  0.418
O  0.880  0.172  0.840

---

# 2
Diffraction record for Li3Mn2P2C2O14. The powder XRD pattern is theoretical, not measured: it uses a GGA+U-relaxed structure and CuKα.

Top 6 peaks for 10° ≤ 2θ ≤ 90°, low angle first:
2θ (°)  d/Å  Rel. int.
10.69  8.273  100
19.94  4.453  41
21.33  4.165  56
25.42  3.504  32
26.85  3.321  38
27.53  3.240  93

Cell: 6.479 8.297 10.101 Å, 85.70 89.81 89.52°
Fractional positions:
Li  0.000  0.000  0.000
Li  0.031  0.987  0.506
Li  0.457  0.005  0.000
Li  0.512  0.524  0.241
Li  0.719  0.359  0.509
Li  0.948  0.531  0.759
Mn  0.225  0.591  0.024
Mn  0.230  0.590  0.523
Mn  0.722  0.932  0.723
Mn  0.729  0.930  0.230
P  0.221  0.841  0.763
P  0.230  0.839  0.260
P  0.730  0.682  0.486
P  0.730  0.682  0.987
C  0.225  0.307  0.479
C  0.225  0.308  0.983
C  0.727  0.210  0.275
C  0.736  0.219  0.771
O  0.038  0.953  0.717
O  0.041  0.936  0.204
O  0.202  0.677  0.701
O  0.205  0.164  0.453
O  0.210  0.426  0.890
O  0.211  0.804  0.413
O  0.215  0.808  0.919
O  0.220  0.360  0.599
O  0.225  0.160  0.961
O  0.241  0.361  0.101
O  0.250  0.428  0.388
O  0.251  0.673  0.200
O  0.416  0.936  0.724
O  0.416  0.947  0.215
O  0.540  0.582  0.034
O  0.543  0.576  0.528
O  0.706  0.352  0.307
O  0.721  0.722  0.333
O  0.722  0.162  0.154
O  0.723  0.091  0.860
O  0.723  0.851  0.047
O  0.729  0.175  0.649
O  0.742  0.719  0.834
O  0.749  0.842  0.552
O  0.752  0.088  0.365
O  0.755  0.358  0.803
O  0.911  0.564  0.527
O  0.918  0.580  0.035

---

# 3
Diffraction record for Sr2FeCu2O7. The powder XRD pattern is theoretical, not measured: it uses a GGA+U-relaxed structure and CuKα.

Top 6 peaks for 10° ≤ 2θ ≤ 90°, low angle first:
2θ (°)  d/Å  Rel. int.
28.26  3.158  97
32.46  2.758  100
34.97  2.565  42
35.42  2.534  46
37.63  2.391  48
50.09  1.821  49

Cell: 13.184 13.184 13.184 Å, 32.08 157.38 157.56°
Fractional positions:
Sr  0.003  0.149  0.152
Sr  0.003  0.351  0.354
Sr  0.997  0.649  0.646
Sr  0.997  0.851  0.848
Fe  0.385  0.700  0.184
Fe  0.516  0.200  0.816
Cu  0.498  0.559  0.058
Cu  0.498  0.940  0.439
Cu  0.501  0.059  0.561
Cu  0.501  0.440  0.942
O  0.000  0.173  0.675
O  0.000  0.326  0.826
O  0.000  0.673  0.174
O  0.000  0.824  0.326
O  0.160  0.824  0.836
O  0.492  0.187  0.666
O  0.492  0.326  0.804
O  0.498  0.324  0.325
O  0.498  0.673  0.674
O  0.500  0.173  0.174
O  0.500  0.826  0.826
O  0.522  0.687  0.196
O  0.522  0.826  0.334
O  0.988  0.324  0.164

---

# 4
Diffraction record for Na5CrO4. The powder XRD pattern is theoretical, not measured: it uses a GGA+U-relaxed structure and CuKα.

Top 6 peaks for 10° ≤ 2θ ≤ 90°, low angle first:
2θ (°)  d/Å  Rel. int.
16.84  5.266  54
20.20  4.397  74
29.65  3.013  52
31.93  2.803  96
39.16  2.300  100
48.38  1.882  99

Cell: 7.275 5.379 10.540 Å, 90.00 133.59 90.00°
Fractional positions:
Na  0.000  0.181  0.250
Na  0.000  0.819  0.750
Na  0.069  0.257  0.557
Na  0.069  0.743  0.057
Na  0.454  0.257  0.943
Na  0.454  0.743  0.443
Na  0.546  0.257  0.557
Na  0.546  0.743  0.057
Na  0.931  0.257  0.943
Na  0.931  0.743  0.443
Cr  0.500  0.217  0.250
Cr  0.500  0.783  0.750
O  0.272  0.037  0.023
O  0.272  0.963  0.523
O  0.276  0.401  0.250
O  0.276  0.599  0.750
O  0.724  0.401  0.250
O  0.724  0.599  0.750
O  0.728  0.037  0.477
O  0.728  0.963  0.977